Simulated powder XRD pattern of Li5V3Bi2P6O24 for Cu Kα X-rays, from the PBE+U geometry in Alexandria.
Lines closer than 0.1° are merged.

Largest 12 diffraction maxima, in order of rising 2θ, 2θ = 10–90°:
2θ 13.76, d 6.436, I 70, hkl 1 0 0; 2θ 13.91, d 6.365, I 99, hkl 0 1 -1; 2θ 14.20, d 6.235, I 94, hkl -1 1 1; 2θ 19.40, d 4.576, I 69, hkl 1 -1 1; 2θ 19.87, d 4.469, I 100, hkl 1 1 -1; 2θ 19.95, d 4.450, I 90, hkl 1 -2 0; 2θ 20.22, d 4.391, I 76, hkl -2 1 1; 2θ 23.39, d 3.803, I 69, hkl 1 1 -2; 2θ 30.80, d 2.903, I 100, hkl 1 1 1; 2θ 31.41, d 2.848, I 75, hkl -1 2 2; 2θ 31.56, d 2.835, I 69, hkl 1 1 -3; 2θ 34.62, d 2.591, I 66, hkl 0 3 -1

Atomic structure:
```
40
Lattice="8.7883 0.0000 0.0000 -4.3475 7.7695 0.0000 -4.1485 -2.5255 7.4896" Properties=species:S:1:pos:R:3 pbc="T T T"
Li 0.0000 0.0000 0.0000
Li -2.8527 1.3041 3.0300
Li -1.6577 3.1507 0.2386
Li -2.1503 4.8532 2.9023
Li 0.3081 2.5911 2.5906
V -5.7900 5.5264 5.5924
V 3.0400 0.3881 4.8698
V 2.9775 5.4831 1.1319
Bi -1.4365 2.8329 5.4008
Bi 3.2154 0.3506 1.5360
P -0.0821 -0.0145 3.3033
P -3.0164 0.3503 7.0180
P 1.6248 -2.0184 7.2017
P 0.4086 5.5101 3.5567
P 4.1192 3.2486 3.3739
P 1.8383 2.8162 7.2029
O -5.4571 3.9172 4.4871
O -0.3562 -0.5772 1.8964
O -3.7257 0.5043 5.6740
O -6.6115 4.3605 7.1370
O -2.3823 4.8344 1.0912
O -3.1193 3.3325 3.6688
O 0.1641 2.5432 0.6870
O -0.3182 -1.0461 4.3984
O -0.9824 1.2720 3.5503
O -1.9233 -0.7971 7.0126
O -4.0929 5.2457 6.6951
O -2.2569 1.7057 7.2565
O 1.3907 0.5497 3.3174
O -0.3586 4.1287 3.5900
O -0.7739 6.5813 3.4100
O -1.6863 4.5699 7.0825
O 1.2969 5.6450 2.3490
O 2.2183 -0.7941 6.5227
O 5.4894 0.8173 1.2292
O 0.2682 2.7981 7.0071
O 3.8702 1.6640 3.3519
O 3.7559 3.7362 1.9867
O 1.1112 5.6696 4.9156
O 2.4923 1.9491 6.1533
```